1.
Simulated powder diffraction line list of Sm12YNi6 for Cu Kα (λ = 1.5418 Å), from DFT lattice parameters and positions (GGA-PBE).
Peak positions follow from Bragg's law for the DFT cell and can differ from measured ones.

Atomic structure:
a b c (Å): 10.043 10.043 10.043
angles (deg): 90.00 90.00 90.00
Space group Im-3 (No. 204)
Symmetry-distinct sites (fractional):
Sm1 0.000 0.312 0.185 x24
Y1 0.000 0.000 0.000 x2
Ni1 0.000 0.122 0.500 x12

The 10 most intense peaks (15° ≤ 2θ ≤ 90°), low angle first:
- 28.10 deg, I = 49
- 30.84 deg, I = 31
- 33.38 deg, I = 100
- 46.09 deg, I = 24
- 53.18 deg, I = 34
- 54.85 deg, I = 16
- 56.49 deg, I = 32
- 65.75 deg, I = 15
- 81.29 deg, I = 17
- 82.65 deg, I = 16



2.
Simulated powder diffraction line list of SmY2Ni2 for Cu Kα (λ = 1.5418 Å), from DFT lattice parameters and positions (GGA-PBE).
Peak positions follow from Bragg's law for the DFT cell and can differ from measured ones.

Atomic structure:
a b c (Å): 4.372 14.452 3.683
angles (deg): 90.00 90.00 90.00
Space group Cmmm (No. 65)
Symmetry-distinct sites (fractional):
Sm1 0.000 0.000 0.000 x2
Y1 0.000 0.346 0.500 x4
Ni1 0.000 0.197 0.000 x4

The 10 most intense peaks (15° ≤ 2θ ≤ 90°), low angle first:
- 27.55 deg, I = 41
- 32.38 deg, I = 100
- 34.78 deg, I = 47
- 37.31 deg, I = 51
- 41.30 deg, I = 31
- 44.93 deg, I = 43
- 49.50 deg, I = 18
- 55.10 deg, I = 36
- 56.88 deg, I = 15
- 63.59 deg, I = 21



3.
Simulated powder diffraction line list of SmZn8Ni4 for Cu Kα (λ = 1.5418 Å), from DFT lattice parameters and positions (GGA-PBE).
Peak positions follow from Bragg's law for the DFT cell and can differ from measured ones.

Atomic structure:
a b c (Å): 8.618 8.618 5.071
angles (deg): 90.00 90.00 90.00
Space group I4/mmm (No. 139)
Symmetry-distinct sites (fractional):
Sm1 0.000 0.000 0.000 x2
Zn1 0.000 0.224 0.500 x8
Zn2 0.000 0.343 0.000 x8
Ni1 0.250 0.250 0.250 x8

The 10 most intense peaks (15° ≤ 2θ ≤ 90°), low angle first:
- 29.10 deg, I = 23
- 35.40 deg, I = 22
- 35.93 deg, I = 51
- 41.32 deg, I = 69
- 41.78 deg, I = 100
- 41.93 deg, I = 65
- 46.60 deg, I = 45
- 67.92 deg, I = 22
- 76.18 deg, I = 23
- 76.50 deg, I = 26



4.
Simulated powder diffraction line list of Sm2ZnNi16 for Cu Kα (λ = 1.5418 Å), from DFT lattice parameters and positions (GGA-PBE).
Peak positions follow from Bragg's law for the DFT cell and can differ from measured ones.

Atomic structure:
a b c (Å): 8.3533 8.3533 12.1637
angles (deg): 90.00 90.00 120.00
Space group R3m (No. 160, hexagonal axes)
Symmetry-distinct sites (fractional):
Sm1 0.0000 0.0000 0.0000 x3
Sm2 0.0000 0.0000 0.3145 x3
Zn1 0.0000 0.0000 0.5654 x3
Ni1 0.0000 0.0000 0.7613 x3
Ni2 0.9998 0.2946 0.6595 x18
Ni3 0.0016 0.5008 0.5036 x9
Ni4 0.1675 0.3349 0.1474 x9
Ni5 0.1675 0.3350 0.4925 x9

The 10 most intense peaks (15° ≤ 2θ ≤ 90°), low angle first:
- 30.73 deg, I = 32
- 37.29 deg, I = 42
- 38.68 deg, I = 28
- 43.33 deg, I = 63
- 43.67 deg, I = 100
- 44.56 deg, I = 17
- 44.70 deg, I = 32
- 49.07 deg, I = 26
- 79.49 deg, I = 18
- 81.67 deg, I = 17



5.
Simulated powder diffraction line list of SmZn2Ni9 for Cu Kα (λ = 1.5418 Å), from DFT lattice parameters and positions (GGA-PBE).
Peak positions follow from Bragg's law for the DFT cell and can differ from measured ones.

Atomic structure:
a b c (Å): 8.083 8.083 4.754
angles (deg): 90.00 90.00 90.00
Space group P4/mbm (No. 127)
Symmetry-distinct sites (fractional):
Sm1 0.000 0.000 0.000 x2
Zn1 0.118 0.382 0.000 x4
Ni1 0.000 0.500 0.500 x2
Ni2 0.065 0.211 0.500 x8
Ni3 0.178 0.678 0.243 x8

The 10 most intense peaks (15° ≤ 2θ ≤ 90°), low angle first:
- 35.11 deg, I = 21
- 36.69 deg, I = 32
- 40.05 deg, I = 100
- 44.20 deg, I = 40
- 44.69 deg, I = 34
- 45.68 deg, I = 65
- 46.31 deg, I = 44
- 50.50 deg, I = 17
- 69.83 deg, I = 20
- 71.54 deg, I = 18



6.
Simulated powder diffraction line list of Sm3ZnNi2 for Cu Kα (λ = 1.5418 Å), from DFT lattice parameters and positions (GGA-PBE).
Peak positions follow from Bragg's law for the DFT cell and can differ from measured ones.

Atomic structure:
a b c (Å): 8.936 13.809 9.151
angles (deg): 90.00 90.00 90.00
Space group Cmce (No. 64)
Symmetry-distinct sites (fractional):
Sm1 0.000 0.163 0.219 x8
Sm2 0.214 0.124 0.548 x16
Zn1 0.000 0.052 0.816 x8
Ni1 0.000 0.219 0.945 x8
Ni2 0.250 0.033 0.250 x8

The 10 most intense peaks (15° ≤ 2θ ≤ 90°), low angle first:
- 25.67 deg, I = 39
- 25.81 deg, I = 40
- 27.91 deg, I = 73
- 32.08 deg, I = 87
- 32.26 deg, I = 40
- 34.26 deg, I = 46
- 38.38 deg, I = 100
- 39.41 deg, I = 34
- 40.38 deg, I = 46
- 45.42 deg, I = 37